[1]
Theoretical XRD peak list of Cs5AgBr8 for Cu Kα (weighted mean of Kα1 and Kα2), from DFT lattice parameters and positions (PBE).
Neutral-atom scattering factors, no anomalous dispersion.

The 8 most intense peaks (2θ from 10° to 80°), sorted by position:
two_theta  I (rel.)
19.1  27
20.3  41
24.0  100
26.5  46
26.8  93
29.4  48
38.3  85
42.1  25

Crystal structure
Cell: 9.5209 9.5209 9.5209 Å, 113.06 113.06 102.51°
Atoms (fractional coordinates):
Cs (0.0000, 0.0000, 0.0000)
Cs (0.1130, 0.2556, 0.5850)
Cs (0.4720, 0.8870, 0.1426)
Cs (0.6706, 0.5280, 0.4150)
Cs (0.7444, 0.3294, 0.8574)
Ag (0.2500, 0.7500, 0.5000)
Br (0.0234, 0.6012, 0.8054)
Br (0.2201, 0.5472, 0.2112)
Br (0.3360, 0.0089, 0.7888)
Br (0.3988, 0.2041, 0.4222)
Br (0.4528, 0.6640, 0.6729)
Br (0.7820, 0.9766, 0.5778)
Br (0.7959, 0.2180, 0.1946)
Br (0.9911, 0.7799, 0.3271)

***

[2]
Theoretical XRD peak list of RbSrSeI for Cu Kα (weighted mean of Kα1 and Kα2), from DFT lattice parameters and positions (PBE).
Neutral-atom scattering factors, no anomalous dispersion.

The 8 most intense peaks (2θ from 10° to 80°), sorted by position:
two_theta  I (rel.)
23.1  15
26.1  28
28.1  100
33.0  16
38.6  47
41.7  23
48.4  22
63.6  19

Crystal structure
Cell: 8.9790 8.9790 8.9790 Å, 30.11 30.11 30.11°
Atoms (fractional coordinates):
Rb (0.0000, 0.0000, 0.0000)
Sr (0.8077, 0.8077, 0.8077)
Se (0.4179, 0.4179, 0.4179)
I (0.2277, 0.2277, 0.2277)